The following is a simulated powder diffractogram of Al13Rh4. It was derived from a structure optimized by DFT (PBE), using Cu Kα.
Neutral-atom scattering factors, no anomalous dispersion.

Most intense lines, 2θ from 10° to 80°, sorted by position:
d (Å), Rel. int.
4.174, 448
4.090, 527
3.640, 653
3.446, 476
3.356, 499
2.144, 766
2.138, 733
2.114, 562
2.097, 525
2.084, 1000

Cell and atoms:
```
51
Lattice="7.865 -4.165 0.000 7.865 4.165 0.000 -4.021 0.000 12.270" Properties=species:S:1:pos:R:3 pbc="T T T"
Al 0.000 0.000 0.000
Al -2.410 0.000 8.217
Al 1.742 2.330 12.033
Al 3.348 2.367 7.485
Al 3.417 1.818 4.733
Al 4.386 1.821 2.086
Al 1.880 0.000 2.631
Al 0.200 0.000 8.963
Al 4.396 2.253 10.154
Al 7.313 2.253 2.117
Al 5.855 2.076 6.135
Al 1.923 0.000 6.404
Al 0.183 0.000 12.022
Al 8.361 2.367 4.785
Al 9.968 2.330 0.238
Al 3.629 0.000 8.771
Al 2.969 0.000 11.276
Al 5.447 0.000 3.974
Al 7.323 1.821 10.184
Al 8.292 1.818 7.538
Al 3.417 -1.818 4.733
Al 4.386 -1.821 2.086
Al 6.262 0.000 8.296
Al 8.740 0.000 0.995
Al 8.080 0.000 3.500
Al 1.742 -2.330 12.033
Al 3.348 -2.367 7.485
Al 11.526 0.000 0.248
Al 9.787 0.000 5.866
Al 5.855 -2.076 6.135
Al 4.396 -2.253 10.154
Al 7.313 -2.253 2.117
Al 11.509 0.000 3.308
Al 9.829 0.000 9.639
Al 7.323 -1.821 10.184
Al 8.292 -1.818 7.538
Al 8.361 -2.367 4.785
Al 9.968 -2.330 0.238
Al 14.119 0.000 4.054
Rh -0.502 0.000 6.409
Rh -1.900 0.000 10.704
Rh 1.935 1.798 9.581
Rh 4.356 0.000 6.391
Rh 6.117 0.000 1.404
Rh 9.774 1.798 2.689
Rh 1.935 -1.798 9.581
Rh 5.592 0.000 10.866
Rh 7.353 0.000 5.879
Rh 9.774 -1.798 2.689
Rh 13.610 0.000 1.566
Rh 12.211 0.000 5.861
```

The following is a simulated powder diffractogram of Al9Rh2. It was derived from a structure optimized by DFT (PBE), using Cu Kα.
Neutral-atom scattering factors, no anomalous dispersion.

Most intense lines, 2θ from 10° to 80°, sorted by position:
d (Å), Rel. int.
4.525, 878
4.123, 662
3.920, 606
3.617, 550
3.027, 554
2.305, 566
2.120, 736
2.088, 526
2.008, 1000
1.996, 873

Cell and atoms:
```
22
Lattice="6.370 0.000 0.000 0.000 6.455 0.000 -0.757 0.000 8.733" Properties=species:S:1:pos:R:3 pbc="T T T"
Al 0.000 0.000 0.000
Al -0.378 3.227 4.367
Al 0.063 1.377 6.351
Al 0.442 1.851 1.985
Al 1.321 3.909 0.349
Al 0.943 5.773 4.716
Al 1.718 1.267 8.708
Al 2.097 1.960 4.342
Al 1.966 3.365 6.718
Al 2.345 6.317 2.351
Al 3.268 0.137 6.382
Al 3.646 3.090 2.015
Al 3.516 4.494 4.391
Al 3.894 5.188 0.025
Al 4.670 0.682 4.017
Al 4.291 2.545 8.384
Al 5.171 4.604 6.749
Al 5.549 5.078 2.382
Rh 1.432 4.020 2.897
Rh 1.053 5.662 7.263
Rh 4.559 0.793 1.470
Rh 4.181 2.434 5.836
```

The following is a simulated powder diffractogram of Al2RuRh. It was derived from a structure optimized by DFT (PBE), using Cu Kα.
Neutral-atom scattering factors, no anomalous dispersion.

Most intense lines, 2θ from 10° to 80°, sorted by position:
d (Å), Rel. int.
3.003, 467
2.124, 1000
1.734, 123
1.502, 162
1.343, 153
1.226, 326

Cell and atoms:
```
4
Lattice="0.000 3.003 3.003 3.003 0.000 3.003 3.003 3.003 0.000" Properties=species:S:1:pos:R:3 pbc="T T T"
Al 1.502 1.502 1.502
Al 4.505 4.505 4.505
Ru 0.000 0.000 0.000
Rh 3.003 3.003 3.003
```

The following is a simulated powder diffractogram of Sm2Al9Rh3. It was derived from a structure optimized by DFT (PBE), using Cu Kα.
Neutral-atom scattering factors, no anomalous dispersion.

Most intense lines, 2θ from 10° to 80°, sorted by position:
d (Å), Rel. int.
3.528, 517
2.990, 517
2.972, 1000
2.450, 329
2.440, 677
2.390, 467
2.206, 920
2.185, 438
1.764, 301
1.621, 418

Cell and atoms:
```
28
Lattice="6.554 -3.833 0.000 6.554 3.833 0.000 0.000 0.000 9.558" Properties=species:S:1:pos:R:3 pbc="T T T"
Sm 4.425 2.547 7.169
Sm 8.683 2.547 7.169
Sm 4.425 -2.547 2.390
Sm 8.683 -2.547 2.390
Al 4.376 2.538 0.698
Al 4.376 2.538 4.081
Al 6.554 2.846 2.390
Al 6.554 1.272 5.249
Al 6.554 1.272 9.089
Al 8.732 2.538 0.698
Al 8.732 2.538 4.081
Al 5.189 0.440 2.390
Al 5.189 -0.440 7.169
Al 7.919 0.440 2.390
Al 7.919 -0.440 7.169
Al 4.376 -2.538 5.477
Al 4.376 -2.538 8.860
Al 6.554 -1.272 0.470
Al 6.554 -1.272 4.310
Al 6.554 -2.846 7.169
Al 8.732 -2.538 5.477
Al 8.732 -2.538 8.860
Rh 0.000 0.000 0.000
Rh 0.000 0.000 4.779
Rh 4.307 0.000 0.000
Rh 4.307 0.000 4.779
Rh 8.801 0.000 0.000
Rh 8.801 0.000 4.779
```

The following is a simulated powder diffractogram of Tb2Al9Rh3. It was derived from a structure optimized by DFT (PBE), using Cu Kα.
Neutral-atom scattering factors, no anomalous dispersion.

Most intense lines, 2θ from 10° to 80°, sorted by position:
d (Å), Rel. int.
3.512, 555
2.974, 516
2.957, 1000
2.436, 339
2.427, 694
2.374, 462
2.196, 922
2.176, 438
1.612, 418
1.461, 309

Cell and atoms:
```
28
Lattice="6.527 -3.816 0.000 6.527 3.816 0.000 0.000 0.000 9.497" Properties=species:S:1:pos:R:3 pbc="T T T"
Tb 4.409 2.537 7.123
Tb 8.645 2.537 7.123
Tb 4.409 -2.537 2.374
Tb 8.645 -2.537 2.374
Al 4.350 2.531 0.702
Al 4.350 2.531 4.047
Al 6.527 2.841 2.374
Al 6.527 1.272 5.225
Al 6.527 1.272 9.021
Al 8.704 2.531 0.702
Al 8.704 2.531 4.047
Al 5.161 0.432 2.374
Al 5.161 -0.432 7.123
Al 7.893 0.432 2.374
Al 7.893 -0.432 7.123
Al 4.350 -2.531 5.450
Al 4.350 -2.531 8.796
Al 6.527 -1.272 0.477
Al 6.527 -1.272 4.272
Al 6.527 -2.841 7.123
Al 8.704 -2.531 5.450
Al 8.704 -2.531 8.796
Rh 0.000 0.000 0.000
Rh 0.000 0.000 4.749
Rh 4.283 0.000 0.000
Rh 4.283 0.000 4.749
Rh 8.771 0.000 0.000
Rh 8.771 0.000 4.749
```

The following is a simulated powder diffractogram of Ti8Al15Rh7. It was derived from a structure optimized by DFT (PBE), using Cu Kα.
Neutral-atom scattering factors, no anomalous dispersion.

Most intense lines, 2θ from 10° to 80°, sorted by position:
d (Å), Rel. int.
3.535, 433
3.061, 314
2.356, 128
2.165, 1000
2.162, 200
1.846, 301
1.531, 154
1.369, 93
1.251, 133
1.249, 133

Cell and atoms:
```
30
Lattice="-4.324 4.335 6.121 4.324 -4.335 6.121 4.324 4.335 -6.121" Properties=species:S:1:pos:R:3 pbc="T T T"
Ti 0.000 0.000 0.000
Ti 2.473 2.486 -3.438
Ti 1.851 -1.849 2.683
Ti 0.000 0.000 5.216
Ti 2.473 6.184 -3.438
Ti 1.851 1.849 2.683
Ti 2.216 4.335 1.164
Ti 2.108 0.000 7.285
Al 4.324 1.648 -1.593
Al 2.654 0.000 0.756
Al 5.994 0.000 0.756
Al 4.324 -2.235 4.135
Al 0.000 0.000 2.623
Al 4.324 2.229 1.153
Al 0.000 2.639 0.764
Al 1.655 4.335 -1.600
Al 2.669 0.000 4.521
Al 4.324 2.235 4.135
Al 0.000 2.687 4.528
Al 0.000 6.031 0.764
Al 0.000 2.106 7.275
Al -2.215 4.335 4.136
Al 2.215 4.335 4.136
Rh 4.324 0.000 2.634
Rh 2.160 2.180 -0.417
Rh 2.164 -2.155 5.704
Rh 0.000 4.335 2.617
Rh 2.160 6.490 -0.417
Rh 2.164 2.155 5.704
Rh 0.000 0.000 8.759
```

The following is a simulated powder diffractogram of Ti6Al16Rh7. It was derived from a structure optimized by DFT (PBE), using Cu Kα.
Neutral-atom scattering factors, no anomalous dispersion.

Most intense lines, 2θ from 10° to 80°, sorted by position:
d (Å), Rel. int.
3.501, 649
3.032, 329
2.782, 140
2.475, 183
2.334, 252
2.144, 1000
1.828, 553
1.516, 143
1.391, 237
1.238, 182

Cell and atoms:
```
29
Lattice="0.000 6.064 6.064 6.064 0.000 6.064 6.064 6.064 0.000" Properties=species:S:1:pos:R:3 pbc="T T T"
Ti 6.064 6.064 2.159
Ti 6.064 2.159 6.064
Ti 9.968 6.064 6.064
Ti 2.159 6.064 6.064
Ti 6.064 9.968 6.064
Ti 6.064 6.064 9.968
Al 7.521 4.606 4.606
Al 1.912 1.912 1.912
Al 4.152 4.152 1.912
Al 4.152 1.912 4.152
Al 4.606 4.606 4.606
Al 7.521 7.521 4.606
Al 7.521 4.606 7.521
Al 10.215 7.976 7.976
Al 1.912 4.152 4.152
Al 4.606 7.521 4.606
Al 4.606 4.606 7.521
Al 7.521 7.521 7.521
Al 7.976 10.215 7.976
Al 7.976 7.976 10.215
Al 10.215 10.215 10.215
Al 4.606 7.521 7.521
Rh 3.032 3.032 0.000
Rh 3.032 0.000 3.032
Rh 6.064 3.032 3.032
Rh 0.000 3.032 3.032
Rh 3.032 6.064 3.032
Rh 3.032 3.032 6.064
Rh 6.064 6.064 6.064
```

The following is a simulated powder diffractogram of UAlRh. It was derived from a structure optimized by DFT (PBE), using Cu Kα.
Neutral-atom scattering factors, no anomalous dispersion.

Most intense lines, 2θ from 10° to 80°, sorted by position:
d (Å), Rel. int.
4.182, 294
3.410, 260
2.953, 354
2.643, 749
2.412, 1000
2.091, 237
1.969, 299
1.706, 237
1.525, 439
1.289, 460

Cell and atoms:
```
9
Lattice="6.820 0.000 0.000 -3.410 5.906 0.000 0.000 0.000 4.182" Properties=species:S:1:pos:R:3 pbc="T T T"
U -1.958 3.391 0.000
U 1.452 2.515 0.000
U 3.915 0.000 0.000
Al -0.800 1.385 2.091
Al 1.599 0.000 2.091
Al 2.610 4.521 2.091
Rh 0.000 0.000 0.000
Rh 0.000 3.937 2.091
Rh 3.410 1.969 2.091
```

The following is a simulated powder diffractogram of AlZnRh2. It was derived from a structure optimized by DFT (PBE), using Cu Kα.
Neutral-atom scattering factors, no anomalous dispersion.

Most intense lines, 2θ from 10° to 80°, sorted by position:
d (Å), Rel. int.
3.483, 52
3.017, 178
2.133, 1000
1.819, 25
1.742, 47
1.508, 161
1.384, 9
1.349, 61
1.232, 321

Cell and atoms:
```
4
Lattice="0.000 3.017 3.017 3.017 0.000 3.017 3.017 3.017 0.000" Properties=species:S:1:pos:R:3 pbc="T T T"
Al 0.000 0.000 0.000
Zn 3.017 3.017 3.017
Rh 1.508 1.508 1.508
Rh 4.525 4.525 4.525
```

The following is a simulated powder diffractogram of ZrAlRh2. It was derived from a structure optimized by DFT (PBE), using Cu Kα.
Neutral-atom scattering factors, no anomalous dispersion.

Most intense lines, 2θ from 10° to 80°, sorted by position:
d (Å), Rel. int.
3.666, 102
3.175, 100
2.245, 1000
1.914, 49
1.833, 27
1.587, 165
1.457, 19
1.420, 35
1.296, 329
1.222, 14

Cell and atoms:
```
4
Lattice="0.000 3.175 3.175 3.175 0.000 3.175 3.175 3.175 0.000" Properties=species:S:1:pos:R:3 pbc="T T T"
Zr 0.000 0.000 0.000
Al 3.175 3.175 3.175
Rh 1.587 1.587 1.587
Rh 4.762 4.762 4.762
```

The following is a simulated powder diffractogram of ZrAlRh. It was derived from a structure optimized by DFT (PBE), using Cu Kα.
Neutral-atom scattering factors, no anomalous dispersion.

Most intense lines, 2θ from 10° to 80°, sorted by position:
d (Å), Rel. int.
8.281, 391
3.092, 151
2.374, 428
2.325, 147
2.258, 131
2.241, 1000
2.218, 232
1.452, 125
1.349, 159
1.334, 139

Cell and atoms:
```
12
Lattice="8.281 0.000 0.000 0.000 2.694 4.605 0.000 -2.694 4.605" Properties=species:S:1:pos:R:3 pbc="T T T"
Zr 1.479 0.000 0.000
Zr 2.406 0.000 3.084
Zr 5.874 0.000 3.084
Zr 6.801 0.000 0.000
Al 2.022 0.000 6.207
Al 4.140 -1.388 5.346
Al 4.140 1.388 5.346
Al 6.258 0.000 6.207
Rh 0.000 -1.329 2.342
Rh 0.000 1.329 2.342
Rh 0.000 0.000 4.637
Rh 4.140 0.000 7.714
```